Structure and theoretical powder diffractogram of Fe2N (a GGA-PBE-relaxed structure; Cu Ka).
Intensities are scaled so that the largest is 100.

Principal peaks in the range 10° ≤ 2θ ≤ 90°, sorted by position:
d/Å, two_theta, Rel. int., h k l
4.321, 20.56, 1, 0 0 1
2.980, 29.99, 2, 1 0 1
2.376, 37.86, 15, 1 1 0
2.160, 41.82, 20, 0 0 2
2.082, 43.46, 100, 1 1 1
1.598, 57.67, 19, 1 1 2
1.372, 68.38, 18, 3 0 0
1.232, 77.50, 16, 2 -1 3
1.188, 80.92, 2, 2 2 0
1.158, 83.47, 14, 3 0 2
1.146, 84.59, 12, 4 -2 1

a b c (Å): 4.752 4.752 4.321
angles (deg): 90.00 90.00 120.00
Fractional positions:
Fe (0.000, 0.330, 0.252)
Fe (0.000, 0.670, 0.748)
Fe (0.330, 0.000, 0.252)
Fe (0.330, 0.330, 0.748)
Fe (0.670, 0.000, 0.748)
Fe (0.670, 0.670, 0.252)
N (0.000, 0.000, 0.000)
N (0.333, 0.667, 0.500)
N (0.667, 0.333, 0.500)